Calculated X-ray diffraction stick pattern
Compound: SrPmSiN3
Radiation: copper Kα
Structure: a GGA-PBE-relaxed structure
Intensities are scaled so that the largest is 100.

Structural model:
a = 12.7974 Å, b = 3.8459 Å, c = 7.3726 Å
α = 90.00°, β = 106.46°, γ = 90.00°
Space group C2/m (No. 12)
One atom of each set of equivalent atoms:
Sr (0.1477, 0.0000, 0.0717) [4 per cell]
Pm (0.1502, 0.0000, 0.5774) [4 per cell]
Si (0.0027, 0.5000, 0.2659) [4 per cell]
N (0.0039, 0.0000, 0.2762) [4 per cell]
N (0.1431, 0.5000, 0.8080) [4 per cell]
N (0.1500, 0.5000, 0.3360) [4 per cell]

Most intense lines, 10° ≤ 2θ ≤ 90°, sorted by position:
- hkl 0 0 1, 12.52°, I 23
- hkl 1 1 0, 24.25°, I 34
- hkl 4 0 0, 29.10°, I 29
- hkl 3 1 0, 31.94°, I 69
- hkl 2 0 2, 32.62°, I 40
- hkl 4 0 -2, 32.78°, I 40
- hkl 1 1 -2, 33.68°, I 100
- hkl 3 1 2, 45.01°, I 23
- hkl 5 1 -2, 45.18°, I 23
- hkl 0 2 0, 47.27°, I 22
- hkl 2 0 -4, 49.45°, I 19
- hkl 2 2 2, 58.60°, I 19



Calculated X-ray diffraction stick pattern
Compound: PmZn2SiN4
Radiation: copper Kα
Structure: a GGA-PBE-relaxed structure
Intensities are scaled so that the largest is 100.

Structural model:
a = 5.2662 Å, b = 5.2662 Å, c = 6.9762 Å
α = 90.00°, β = 90.00°, γ = 90.00°
Space group I-42m (No. 121)
One atom of each set of equivalent atoms:
Pm (0.0000, 0.0000, 0.0000) [2 per cell]
Zn (0.0000, 0.5000, 0.2500) [4 per cell]
Si (0.0000, 0.0000, 0.5000) [2 per cell]
N (0.1963, 0.1963, 0.3616) [8 per cell]

Most intense lines, 10° ≤ 2θ ≤ 90°, sorted by position:
- hkl 1 0 1, 21.14°, I 38
- hkl 2 0 0, 34.05°, I 41
- hkl 1 1 2, 35.26°, I 100
- hkl 2 1 1, 40.42°, I 22
- hkl 1 0 3, 42.50°, I 10
- hkl 2 2 0, 48.92°, I 23
- hkl 3 1 2, 61.73°, I 38
- hkl 2 0 4, 64.04°, I 20
- hkl 2 2 4, 74.55°, I 9
- hkl 4 2 0, 81.79°, I 8
- hkl 3 3 2, 82.48°, I 8
- hkl 1 1 6, 87.99°, I 7



Calculated X-ray diffraction stick pattern
Compound: Pm4Sm2Te3N2
Radiation: copper Kα
Structure: a GGA-PBE-relaxed structure
Intensities are scaled so that the largest is 100.

Structural model:
a = 4.6961 Å, b = 4.6961 Å, c = 26.2957 Å
α = 90.00°, β = 90.00°, γ = 90.00°
Space group I4/mmm (No. 139)
One atom of each set of equivalent atoms:
Pm (0.0000, 0.5000, 0.0831) [8 per cell]
Sm (0.0000, 0.0000, 0.1945) [4 per cell]
Te (0.0000, 0.0000, 0.3212) [4 per cell]
Te (0.0000, 0.0000, 0.5000) [2 per cell]
N (0.0000, 0.0000, 0.1084) [4 per cell]

Most intense lines, 10° ≤ 2θ ≤ 90°, sorted by position:
- hkl 0 0 8, 27.13°, I 17
- hkl 1 1 2, 27.71°, I 45
- hkl 1 1 4, 30.15°, I 18
- hkl 1 0 7, 30.47°, I 11
- hkl 1 1 6, 33.87°, I 100
- hkl 0 0 10, 34.10°, I 13
- hkl 2 0 0, 38.33°, I 52
- hkl 2 0 8, 47.59°, I 15
- hkl 2 0 10, 52.23°, I 15
- hkl 2 2 0, 55.33°, I 18
- hkl 2 0 12, 57.53°, I 10
- hkl 3 1 6, 66.48°, I 28



Calculated X-ray diffraction stick pattern
Compound: Pm2SmY3N6
Radiation: copper Kα
Structure: a GGA-PBE-relaxed structure
Intensities are scaled so that the largest is 100.

Structural model:
a = 6.1353 Å, b = 10.6266 Å, c = 6.1379 Å
α = 90.00°, β = 109.46°, γ = 90.00°
Space group C2/m (No. 12)
One atom of each set of equivalent atoms:
Pm (0.0000, 0.1667, 0.0000) [4 per cell]
Sm (0.0000, 0.5000, 0.0000) [2 per cell]
Y (0.0000, 0.0000, 0.5000) [2 per cell]
Y (0.0000, 0.3335, 0.5000) [4 per cell]
N (0.2467, 0.5000, 0.7431) [4 per cell]
N (0.2481, 0.1662, 0.7429) [8 per cell]

Most intense lines, 10° ≤ 2θ ≤ 90°, sorted by position:
- hkl 0 0 1, 15.31°, I 9
- hkl 1 3 0, 29.57°, I 6
- hkl 2 0 0, 30.91°, I 100
- hkl 1 3 1, 35.85°, I 80
- hkl 2 0 1, 39.18°, I 3
- hkl 2 0 2, 51.60°, I 54
- hkl 3 3 0, 54.16°, I 2
- hkl 3 3 1, 61.37°, I 45
- hkl 4 0 0, 64.42°, I 18
- hkl 2 6 2, 75.97°, I 8
- hkl 4 0 2, 84.24°, I 19
- hkl 4 6 0, 86.96°, I 24



Calculated X-ray diffraction stick pattern
Compound: Pm5Sn2N
Radiation: copper Kα
Structure: a GGA-PBE-relaxed structure
Intensities are scaled so that the largest is 100.

Structural model:
a = 5.6932 Å, b = 15.8549 Å, c = 11.8858 Å
α = 90.00°, β = 90.00°, γ = 90.00°
Space group Cmcm (No. 63)
One atom of each set of equivalent atoms:
Pm (0.0000, 0.0696, 0.1172) [8 per cell]
Pm (0.0000, 0.2856, 0.0892) [8 per cell]
Pm (0.0000, 0.3156, 0.7500) [4 per cell]
Sn (0.0000, 0.1377, 0.6224) [8 per cell]
N (0.0000, 0.1799, 0.2500) [4 per cell]

Most intense lines, 10° ≤ 2θ ≤ 90°, sorted by position:
- hkl 0 2 0, 11.16°, I 58
- hkl 1 1 0, 16.54°, I 90
- hkl 1 1 3, 28.01°, I 75
- hkl 0 0 4, 30.07°, I 35
- hkl 2 0 0, 31.43°, I 100
- hkl 0 4 3, 31.94°, I 89
- hkl 1 5 0, 32.32°, I 86
- hkl 1 5 1, 33.21°, I 70
- hkl 1 1 4, 34.51°, I 59
- hkl 1 5 3, 39.70°, I 49
- hkl 2 4 3, 45.42°, I 67
- hkl 3 5 0, 56.55°, I 33



Calculated X-ray diffraction stick pattern
Compound: Pm6Sn3N2
Radiation: copper Kα
Structure: a GGA-PBE-relaxed structure
Intensities are scaled so that the largest is 100.

Structural model:
a = 4.8460 Å, b = 4.8460 Å, c = 25.7410 Å
α = 90.00°, β = 90.00°, γ = 90.00°
Space group I4/mmm (No. 139)
One atom of each set of equivalent atoms:
Pm (0.0000, 0.0000, 0.1930) [4 per cell]
Pm (0.0000, 0.5000, 0.0841) [8 per cell]
Sn (0.0000, 0.0000, 0.3230) [4 per cell]
Sn (0.0000, 0.0000, 0.5000) [2 per cell]
N (0.0000, 0.0000, 0.1033) [4 per cell]

Most intense lines, 10° ≤ 2θ ≤ 90°, sorted by position:
- hkl 1 1 2, 26.93°, I 43
- hkl 0 0 8, 27.72°, I 14
- hkl 1 1 4, 29.53°, I 17
- hkl 1 0 7, 30.52°, I 11
- hkl 1 1 6, 33.47°, I 100
- hkl 0 0 10, 34.85°, I 11
- hkl 2 0 0, 37.10°, I 53
- hkl 2 0 8, 46.94°, I 14
- hkl 2 0 10, 51.82°, I 15
- hkl 2 2 0, 53.48°, I 19
- hkl 2 0 12, 57.37°, I 11
- hkl 3 1 6, 64.58°, I 31



Calculated X-ray diffraction stick pattern
Compound: Pm7Sn2N
Radiation: copper Kα
Structure: a GGA-PBE-relaxed structure
Intensities are scaled so that the largest is 100.

Structural model:
a = 10.4164 Å, b = 10.4164 Å, c = 10.4164 Å
α = 90.00°, β = 90.00°, γ = 90.00°
Space group Fm-3m (No. 225)
One atom of each set of equivalent atoms:
Pm (0.0000, 0.0000, 0.0000) [4 per cell]
Pm (0.0000, 0.0000, 0.2682) [24 per cell]
Sn (0.2500, 0.2500, 0.2500) [8 per cell]
N (0.0000, 0.0000, 0.5000) [4 per cell]

Most intense lines, 10° ≤ 2θ ≤ 90°, sorted by position:
- hkl 2 0 0, 17.02°, I 16
- hkl 3 1 1, 28.42°, I 10
- hkl 2 2 2, 29.71°, I 100
- hkl 4 0 0, 34.44°, I 91
- hkl 3 3 1, 37.64°, I 16
- hkl 4 4 0, 49.50°, I 62
- hkl 6 2 2, 58.80°, I 39
- hkl 4 4 4, 61.70°, I 20
- hkl 7 3 1, 69.29°, I 10
- hkl 8 0 0, 72.61°, I 9
- hkl 6 6 2, 80.36°, I 14
- hkl 8 4 0, 82.90°, I 25



Calculated X-ray diffraction stick pattern
Compound: Pm3Sn2N
Radiation: copper Kα
Structure: a GGA-PBE-relaxed structure
Intensities are scaled so that the largest is 100.

Structural model:
a = 12.3585 Å, b = 6.6422 Å, c = 8.3856 Å
α = 90.00°, β = 103.64°, γ = 90.00°
Space group C2/c (No. 15)
One atom of each set of equivalent atoms:
Pm (0.0000, 0.1227, 0.2500) [4 per cell]
Pm (0.1325, 0.4009, 0.6476) [8 per cell]
Sn (0.1645, 0.1164, 0.0230) [8 per cell]
N (0.0000, 0.4556, 0.2500) [4 per cell]

Most intense lines, 10° ≤ 2θ ≤ 90°, sorted by position:
- hkl 3 1 -1, 26.07°, I 52
- hkl 0 2 1, 29.03°, I 87
- hkl 2 0 2, 29.25°, I 99
- hkl 3 1 -2, 30.50°, I 100
- hkl 2 2 -1, 31.48°, I 34
- hkl 4 0 -2, 32.61°, I 21
- hkl 2 2 1, 33.91°, I 84
- hkl 1 1 -3, 34.82°, I 44
- hkl 5 1 0, 39.91°, I 21
- hkl 4 2 1, 43.97°, I 23
- hkl 1 1 -4, 45.47°, I 43
- hkl 1 3 -3, 52.74°, I 25



Calculated X-ray diffraction stick pattern
Compound: Pm10Sn4N3
Radiation: copper Kα
Structure: a GGA-PBE-relaxed structure
Intensities are scaled so that the largest is 100.

Structural model:
a = 4.9376 Å, b = 4.9376 Å, c = 36.0623 Å
α = 90.00°, β = 90.00°, γ = 90.00°
Space group I4/mmm (No. 139)
One atom of each set of equivalent atoms:
Pm (0.0000, 0.0000, 0.0685) [4 per cell]
Pm (0.0000, 0.0000, 0.2091) [4 per cell]
Pm (0.0000, 0.5000, 0.0000) [4 per cell]
Pm (0.0000, 0.5000, 0.1367) [8 per cell]
Sn (0.0000, 0.0000, 0.2999) [4 per cell]
Sn (0.0000, 0.0000, 0.4316) [4 per cell]
N (0.0000, 0.0000, 0.0000) [2 per cell]
N (0.0000, 0.0000, 0.1403) [4 per cell]

Most intense lines, 10° ≤ 2θ ≤ 90°, sorted by position:
- hkl 1 1 4, 27.39°, I 10
- hkl 1 1 6, 29.59°, I 41
- hkl 1 1 8, 32.44°, I 100
- hkl 0 0 14, 34.83°, I 23
- hkl 2 0 0, 36.39°, I 58
- hkl 2 0 14, 51.26°, I 31
- hkl 2 2 0, 52.41°, I 20
- hkl 3 1 6, 61.35°, I 11
- hkl 1 1 22, 62.61°, I 20
- hkl 3 1 8, 63.00°, I 30
- hkl 2 2 14, 64.48°, I 16
- hkl 3 1 22, 85.98°, I 17



Calculated X-ray diffraction stick pattern
Compound: Pm2Th4Sn3N2
Radiation: copper Kα
Structure: a GGA-PBE-relaxed structure
Intensities are scaled so that the largest is 100.

Structural model:
a = 4.8235 Å, b = 4.8235 Å, c = 26.1625 Å
α = 90.00°, β = 90.00°, γ = 90.00°
Space group I4/mmm (No. 139)
One atom of each set of equivalent atoms:
Pm (0.0000, 0.0000, 0.1966) [4 per cell]
Th (0.0000, 0.5000, 0.0834) [8 per cell]
Sn (0.0000, 0.0000, 0.3224) [4 per cell]
Sn (0.0000, 0.0000, 0.5000) [2 per cell]
N (0.0000, 0.0000, 0.1018) [4 per cell]

Most intense lines, 10° ≤ 2θ ≤ 90°, sorted by position:
- hkl 0 0 4, 13.54°, I 14
- hkl 1 1 2, 27.02°, I 46
- hkl 0 0 8, 27.27°, I 14
- hkl 1 1 4, 29.54°, I 23
- hkl 1 1 6, 33.35°, I 100
- hkl 2 0 0, 37.28°, I 51
- hkl 2 0 8, 46.80°, I 14
- hkl 1 1 12, 49.63°, I 11
- hkl 2 0 10, 51.54°, I 14
- hkl 2 2 0, 53.75°, I 18
- hkl 2 0 12, 56.94°, I 13
- hkl 3 1 6, 64.75°, I 31